Starting from the PBE geometry in the Materials Project, the X-ray powder pattern of VSb was computed for Cu Ka.
No peak broadening, texture or thermal motion is included.

Structural model:
Cell lengths 4.1401, 4.1401, 5.5909 Å; angles 90.00, 90.00, 120.00 degrees
Space group P6_3/mmc (No. 194)
Inequivalent atoms, fractional coordinates:
V1 0.0000 0.0000 0.0000 [2 per cell]
Sb1 0.3333 0.6667 0.2500 [2 per cell]

Most intense lines, 5° ≤ 2θ ≤ 70°, in order of rising 2θ:
- d 3.585, 24.83 deg, I 1, hkl 1 0 0
- d 3.018, 29.60 deg, I 100, hkl 1 0 1
- d 2.795, 32.02 deg, I 6, hkl 0 0 2
- d 2.205, 40.94 deg, I 45, hkl 1 0 2
- d 2.070, 43.73 deg, I 45, hkl 1 1 0
- d 1.707, 53.69 deg, I 18, hkl 2 0 1
- d 1.664, 55.21 deg, I 8, hkl 1 1 2
- d 1.654, 55.58 deg, I 17, hkl 1 0 3
- d 1.509, 61.44 deg, I 13, hkl 2 0 2
- d 1.398, 66.95 deg, I 4, hkl 0 0 4


Starting from the PBE geometry in the Materials Project, the X-ray powder pattern of KZnP was computed for Cu Ka.
No peak broadening, texture or thermal motion is included.

Structural model:
Cell lengths 4.1061, 4.1061, 10.2926 Å; angles 90.00, 90.00, 120.00 degrees
Space group P6_3/mmc (No. 194)
Inequivalent atoms, fractional coordinates:
K1 0.0000 0.0000 0.0000 [2 per cell]
Zn1 0.3333 0.6667 0.2500 [2 per cell]
P1 0.3333 0.6667 0.7500 [2 per cell]

Most intense lines, 5° ≤ 2θ ≤ 70°, in order of rising 2θ:
- d 5.146, 17.23 deg, I 31, hkl 0 0 2
- d 3.361, 26.52 deg, I 20, hkl 1 0 1
- d 2.926, 30.56 deg, I 100, hkl 1 0 2
- d 2.573, 34.87 deg, I 28, hkl 0 0 4
- d 2.469, 36.39 deg, I 9, hkl 1 0 3
- d 2.053, 44.11 deg, I 41, hkl 1 1 0
- d 1.907, 47.69 deg, I 13, hkl 1 1 2
- d 1.681, 54.61 deg, I 17, hkl 2 0 2
- d 1.605, 57.42 deg, I 36, hkl 1 1 4
- d 1.545, 59.86 deg, I 13, hkl 1 0 6


Starting from the PBE geometry in the Materials Project, the X-ray powder pattern of PaTe2Au was computed for Cu Ka.
No peak broadening, texture or thermal motion is included.

Structural model:
Cell lengths 7.425, 7.425, 7.425 Å; angles 90.00, 90.00, 90.00 degrees
Space group Fm-3m (No. 225)
Inequivalent atoms, fractional coordinates:
Pa1 0.000 0.000 0.000 [4 per cell]
Te1 0.250 0.250 0.250 [8 per cell]
Au1 0.000 0.000 0.500 [4 per cell]

Most intense lines, 5° ≤ 2θ ≤ 70°, in order of rising 2θ:
- d 3.712, 23.97 deg, I 8, hkl 2 0 0
- d 2.625, 34.16 deg, I 100, hkl 2 2 0
- d 2.143, 42.16 deg, I 3, hkl 2 2 2
- d 1.856, 49.08 deg, I 18, hkl 4 0 0
- d 1.660, 55.34 deg, I 4, hkl 4 2 0
- d 1.516, 61.15 deg, I 38, hkl 4 2 2